The following is a theoretical XRD peak list of LaIrBr2. It was derived from a DFT-relaxed cell (GGA-PBE, Alexandria), using Cu Kα X-rays.

Structural model:
Unit cell a=3.9644 b=4.0962 c=7.6153 alpha=90.00 beta=104.84 gamma=90.00
Space group Pm (No. 6)
Inequivalent atoms, fractional coordinates:
La 0.0000 0.0000 0.0000 (multiplicity 1)
Ir 0.4499 0.5000 0.8983 (multiplicity 1)
Br 0.3315 0.0000 0.6555 (multiplicity 1)
Br 0.6165 0.5000 0.2399 (multiplicity 1)

Largest 10 diffraction maxima, by angle, 10 to 90 degrees two-theta:
2θ = 12.02°, I = 100, hkl 0 0 1
2θ = 23.24°, I = 16, hkl 1 0 0
2θ = 32.00°, I = 68, hkl 1 1 -1
2θ = 32.71°, I = 21, hkl 0 1 2
2θ = 36.47°, I = 34, hkl 1 1 1
2θ = 36.62°, I = 9, hkl 0 0 3
2θ = 42.97°, I = 19, hkl 0 1 3
2θ = 44.20°, I = 25, hkl 0 2 0
2θ = 44.31°, I = 10, hkl 1 1 -3
2θ = 45.78°, I = 13, hkl 2 0 -1


The following is a theoretical XRD peak list of Ce2Pm2Tl5. It was derived from a DFT-relaxed cell (GGA-PBE, Alexandria), using Cu Kα X-rays.

Structural model:
Unit cell a=16.3653 b=7.1902 c=10.0533 alpha=90.00 beta=107.24 gamma=90.00
Space group C2/m (No. 12)
Inequivalent atoms, fractional coordinates:
Ce 0.0000 0.0000 0.0000 (multiplicity 2)
Ce 0.0000 0.5000 0.5000 (multiplicity 2)
Ce 0.2172 0.0000 0.2030 (multiplicity 4)
Pm 0.1087 0.0000 0.6089 (multiplicity 4)
Pm 0.1661 0.5000 0.1795 (multiplicity 4)
Tl 0.0523 0.2156 0.2973 (multiplicity 8)
Tl 0.1461 0.2433 0.8955 (multiplicity 8)
Tl 0.2500 0.2500 0.5000 (multiplicity 4)

Largest 10 diffraction maxima, by angle, 10 to 90 degrees two-theta:
2θ = 18.60°, I = 13, hkl 2 0 -2
2θ = 27.07°, I = 13, hkl 4 0 1
2θ = 30.00°, I = 17, hkl 5 1 -1
2θ = 31.15°, I = 100, hkl 2 2 -2
2θ = 32.85°, I = 32, hkl 6 0 -1
2θ = 33.25°, I = 34, hkl 2 0 3
2θ = 37.01°, I = 46, hkl 4 2 1
2θ = 37.72°, I = 31, hkl 4 0 -4
2θ = 53.61°, I = 14, hkl 8 2 -3
2θ = 54.15°, I = 17, hkl 0 2 5


The following is a theoretical XRD peak list of Ac3ZnPt3. It was derived from a DFT-relaxed cell (GGA-PBE, Alexandria), using Cu Kα X-rays.

Structural model:
Unit cell a=4.2795 b=4.3559 c=20.2341 alpha=90.00 beta=90.00 gamma=90.00
Space group Imm2 (No. 44)
Inequivalent atoms, fractional coordinates:
Ac 0.0000 0.0000 0.0000 (multiplicity 2)
Ac 0.0000 0.0000 0.3650 (multiplicity 2)
Ac 0.0000 0.5000 0.1715 (multiplicity 2)
Zn 0.0000 0.5000 0.7458 (multiplicity 2)
Pt 0.0000 0.0000 0.5223 (multiplicity 2)
Pt 0.0000 0.0000 0.8266 (multiplicity 2)
Pt 0.0000 0.5000 0.6202 (multiplicity 2)

Largest 10 diffraction maxima, by angle, 10 to 90 degrees two-theta:
2θ = 26.43°, I = 29, hkl 0 0 6
2θ = 30.40°, I = 32, hkl 1 0 5
2θ = 30.59°, I = 100, hkl 1 1 2
2θ = 34.31°, I = 39, hkl 1 1 4
2θ = 37.34°, I = 32, hkl 0 1 7
2θ = 39.83°, I = 32, hkl 1 1 6
2θ = 41.46°, I = 27, hkl 0 2 0
2θ = 42.24°, I = 26, hkl 2 0 0
2θ = 57.62°, I = 18, hkl 2 1 7
2θ = 60.67°, I = 18, hkl 2 2 0


The following is a theoretical XRD peak list of Pm2GdOs. It was derived from a DFT-relaxed cell (GGA-PBE, Alexandria), using Cu Kα X-rays.

Structural model:
Unit cell a=3.4801 b=3.4801 c=9.5220 alpha=90.00 beta=90.00 gamma=90.00
Space group P4/mmm (No. 123)
Inequivalent atoms, fractional coordinates:
Pm 0.0000 0.0000 0.1799 (multiplicity 2)
Gd 0.5000 0.5000 0.5000 (multiplicity 1)
Os 0.5000 0.5000 0.0000 (multiplicity 1)

Largest 10 diffraction maxima, by angle, 10 to 90 degrees two-theta:
2θ = 31.85°, I = 100, hkl 1 0 2
2θ = 36.51°, I = 50, hkl 1 1 0
2θ = 37.77°, I = 10, hkl 0 0 4
2θ = 38.38°, I = 22, hkl 1 0 3
2θ = 46.20°, I = 20, hkl 1 0 4
2θ = 52.60°, I = 18, hkl 2 0 0
2θ = 62.82°, I = 29, hkl 2 1 2
2θ = 70.62°, I = 13, hkl 1 1 6
2θ = 72.57°, I = 11, hkl 2 1 4
2θ = 86.36°, I = 14, hkl 1 0 8


The following is a theoretical XRD peak list of In4Au9. It was derived from a DFT-relaxed cell (GGA-PBE, Alexandria), using Cu Kα X-rays.

Structural model:
Unit cell a=10.0527 b=10.0527 c=10.0527 alpha=90.00 beta=90.00 gamma=90.00
Space group P-43m (No. 215)
Inequivalent atoms, fractional coordinates:
In 0.0357 0.3093 0.3093 (multiplicity 12)
In 0.3707 0.3707 0.6293 (multiplicity 4)
Au 0.0000 0.0000 0.3585 (multiplicity 6)
Au 0.1090 0.1090 0.1090 (multiplicity 4)
Au 0.1393 0.5000 0.5000 (multiplicity 6)
Au 0.1779 0.1779 0.8221 (multiplicity 4)
Au 0.1825 0.1825 0.5269 (multiplicity 12)
Au 0.3383 0.3383 0.3383 (multiplicity 4)

Largest 10 diffraction maxima, by angle, 10 to 90 degrees two-theta:
2θ = 21.65°, I = 3, hkl 2 1 1
2θ = 30.81°, I = 3, hkl 2 2 2
2θ = 37.97°, I = 100, hkl 3 3 0
2θ = 42.16°, I = 3, hkl 3 3 2
2θ = 44.13°, I = 3, hkl 4 2 2
2θ = 54.79°, I = 12, hkl 6 0 0
2θ = 64.19°, I = 5, hkl 4 4 4
2θ = 68.60°, I = 23, hkl 6 3 3
2θ = 77.07°, I = 11, hkl 7 4 1
2θ = 81.19°, I = 5, hkl 6 6 0


The following is a theoretical XRD peak list of ZnCu3Ge. It was derived from a DFT-relaxed cell (GGA-PBE, Alexandria), using Cu Kα X-rays.

Structural model:
Unit cell a=4.5123 b=4.9068 c=6.9325 alpha=86.83 beta=85.29 gamma=65.62
Space group P-1 (No. 2)
Inequivalent atoms, fractional coordinates:
Zn 0.1261 0.1558 0.2711 (multiplicity 2)
Cu 0.0101 0.6952 0.3635 (multiplicity 2)
Cu 0.2887 0.9432 0.9138 (multiplicity 2)
Cu 0.4514 0.7668 0.5512 (multiplicity 2)
Ge 0.4239 0.3936 0.8148 (multiplicity 2)

Largest 10 diffraction maxima, by angle, 10 to 90 degrees two-theta:
2θ = 35.04°, I = 39, hkl 1 0 -2
2θ = 40.16°, I = 30, hkl 2 1 0
2θ = 42.84°, I = 100, hkl 0 2 -1
2θ = 43.84°, I = 96, hkl 1 0 3
2θ = 44.25°, I = 70, hkl 1 2 2
2θ = 44.80°, I = 73, hkl -1 1 2
2θ = 45.30°, I = 61, hkl 2 0 1
2θ = 46.21°, I = 61, hkl 2 2 0
2θ = 47.40°, I = 57, hkl 1 1 -3
2θ = 70.89°, I = 41, hkl 0 1 5


The following is a theoretical XRD peak list of Sm2MgHg. It was derived from a DFT-relaxed cell (GGA-PBE, Alexandria), using Cu Kα X-rays.

Structural model:
Unit cell a=5.3495 b=3.8242 c=10.8327 alpha=90.00 beta=90.00 gamma=90.00
Space group Pmma (No. 51)
Inequivalent atoms, fractional coordinates:
Sm 0.2500 0.0000 0.1173 (multiplicity 2)
Sm 0.2500 0.0000 0.6228 (multiplicity 2)
Mg 0.2500 0.5000 0.3737 (multiplicity 2)
Hg 0.2500 0.5000 0.8574 (multiplicity 2)

Largest 10 diffraction maxima, by angle, 10 to 90 degrees two-theta:
2θ = 18.50°, I = 15, hkl 1 0 1
2θ = 33.08°, I = 24, hkl 0 0 4
2θ = 33.21°, I = 100, hkl 1 1 2
2θ = 33.50°, I = 25, hkl 2 0 0
2θ = 47.79°, I = 17, hkl 2 0 4
2θ = 59.16°, I = 25, hkl 0 2 4
2θ = 59.42°, I = 10, hkl 2 2 0
2θ = 59.71°, I = 19, hkl 3 1 2
2θ = 69.72°, I = 11, hkl 2 2 4
2θ = 79.27°, I = 11, hkl 1 3 2


The following is a theoretical XRD peak list of Ho2Zn15Cd2. It was derived from a DFT-relaxed cell (GGA-PBE, Alexandria), using Cu Kα X-rays.

Structural model:
Unit cell a=9.0928 b=9.0928 c=13.3070 alpha=90.00 beta=90.00 gamma=120.00
Space group R-3m (No. 166, hexagonal axes)
Inequivalent atoms, fractional coordinates:
Ho 0.0000 0.0000 0.1574 (multiplicity 6)
Zn 0.0000 0.3033 0.5000 (multiplicity 18)
Zn 0.0000 0.5000 0.0000 (multiplicity 9)
Zn 0.0147 0.5073 0.6526 (multiplicity 18)
Cd 0.0000 0.0000 0.3940 (multiplicity 6)

Largest 10 diffraction maxima, by angle, 10 to 90 degrees two-theta:
2θ = 34.16°, I = 59, hkl 3 0 0
2θ = 35.32°, I = 40, hkl 0 2 4
2θ = 39.65°, I = 75, hkl 2 2 0
2θ = 39.91°, I = 100, hkl 0 3 3
2θ = 40.68°, I = 62, hkl 0 0 6
2θ = 40.93°, I = 22, hkl 2 0 5
2θ = 44.80°, I = 36, hkl 2 2 3
2θ = 58.11°, I = 24, hkl 2 2 6
2θ = 71.95°, I = 25, hkl 6 0 0
2θ = 73.51°, I = 28, hkl 0 3 9


The following is a theoretical XRD peak list of Ba2Al5Zn3. It was derived from a DFT-relaxed cell (GGA-PBE, Alexandria), using Cu Kα X-rays.

Structural model:
Unit cell a=11.3564 b=12.7368 c=6.3580 alpha=90.00 beta=90.00 gamma=90.00
Space group Ibam (No. 72)
Inequivalent atoms, fractional coordinates:
Ba 0.2449 0.1255 0.0000 (multiplicity 8)
Al 0.0000 0.2595 0.2500 (multiplicity 8)
Al 0.0000 0.5000 0.2500 (multiplicity 4)
Al 0.1261 0.1266 0.5000 (multiplicity 8)
Zn 0.0000 0.0000 0.2500 (multiplicity 4)
Zn 0.1350 0.3792 0.0000 (multiplicity 8)

Largest 10 diffraction maxima, by angle, 10 to 90 degrees two-theta:
2θ = 21.24°, I = 20, hkl 1 2 1
2θ = 28.05°, I = 36, hkl 0 4 0
2θ = 30.87°, I = 86, hkl 3 2 1
2θ = 32.25°, I = 100, hkl 2 0 2
2θ = 40.08°, I = 54, hkl 0 4 2
2θ = 44.69°, I = 39, hkl 5 2 1
2θ = 51.43°, I = 40, hkl 3 2 3
2θ = 56.58°, I = 13, hkl 6 0 2
2θ = 61.57°, I = 29, hkl 5 2 3
2θ = 67.91°, I = 22, hkl 2 4 4


The following is a theoretical XRD peak list of PmPaMnS6. It was derived from a DFT-relaxed cell (GGA-PBE, Alexandria), using Cu Kα X-rays.

Structural model:
Unit cell a=6.4378 b=6.4378 c=5.8892 alpha=90.00 beta=90.00 gamma=120.00
Space group P312 (No. 149)
Inequivalent atoms, fractional coordinates:
Pm 0.0000 0.0000 0.0000 (multiplicity 1)
Pa 0.6667 0.3333 0.5000 (multiplicity 1)
Mn 0.3333 0.6667 0.0000 (multiplicity 1)
S 0.0260 0.3820 0.2409 (multiplicity 6)

Largest 10 diffraction maxima, by angle, 10 to 90 degrees two-theta:
2θ = 15.90°, I = 14, hkl 1 0 0
2θ = 21.95°, I = 100, hkl 1 0 1
2θ = 27.71°, I = 28, hkl 1 1 0
2θ = 35.63°, I = 30, hkl 2 0 1
2θ = 41.57°, I = 46, hkl 2 -1 2
2θ = 45.73°, I = 31, hkl 2 1 1
2θ = 49.02°, I = 18, hkl 3 0 0
2θ = 49.21°, I = 12, hkl 1 0 3
2θ = 62.06°, I = 12, hkl 4 -1 1
2θ = 64.92°, I = 11, hkl 3 -1 3


The following is a theoretical XRD peak list of AlAgSnF6. It was derived from a DFT-relaxed cell (GGA-PBE, Alexandria), using Cu Kα X-rays.

Structural model:
Unit cell a=4.8607 b=5.3416 c=5.9761 alpha=63.47 beta=88.88 gamma=87.49
Space group P1 (No. 1)
Inequivalent atoms, fractional coordinates:
Al 0.0000 0.0000 0.0000 (multiplicity 1)
Ag 0.0011 0.6828 0.6344 (multiplicity 1)
Sn 0.5004 0.3491 0.3017 (multiplicity 1)
F 0.2088 0.0272 0.2439 (multiplicity 1)
F 0.2130 0.2469 0.7607 (multiplicity 1)
F 0.2350 0.6989 0.0201 (multiplicity 1)
F 0.7651 0.2813 0.0195 (multiplicity 1)
F 0.7872 0.9915 0.7610 (multiplicity 1)
F 0.7913 0.7294 0.2442 (multiplicity 1)

Largest 10 diffraction maxima, by angle, 10 to 90 degrees two-theta:
2θ = 24.77°, I = 98, hkl 1 0 1
2θ = 25.65°, I = 100, hkl 1 1 0
2θ = 26.69°, I = 93, hkl -1 1 1
2θ = 30.15°, I = 74, hkl 0 1 2
2θ = 33.57°, I = 36, hkl 0 2 1
2θ = 38.44°, I = 35, hkl 1 0 -2
2θ = 41.49°, I = 27, hkl 1 2 2
2θ = 47.85°, I = 42, hkl 2 1 2
2θ = 49.08°, I = 28, hkl 2 -1 1
2θ = 57.94°, I = 24, hkl 0 3 3


The following is a theoretical XRD peak list of Er2Zr3Ga4. It was derived from a DFT-relaxed cell (GGA-PBE, Alexandria), using Cu Kα X-rays.

Structural model:
Unit cell a=7.5078 b=7.5385 c=7.2200 alpha=90.00 beta=107.85 gamma=90.00
Space group P2_1/c (No. 14)
Inequivalent atoms, fractional coordinates:
Er 0.1908 0.1734 0.0700 (multiplicity 4)
Zr 0.2479 0.6804 0.2478 (multiplicity 4)
Zr 0.5000 0.0000 0.5000 (multiplicity 2)
Ga 0.0800 0.5351 0.8628 (multiplicity 4)
Ga 0.4920 0.1242 0.8708 (multiplicity 4)

Largest 10 diffraction maxima, by angle, 10 to 90 degrees two-theta:
2θ = 31.45°, I = 54, hkl 1 2 1
2θ = 32.36°, I = 55, hkl 2 1 -2
2θ = 34.13°, I = 99, hkl 2 2 -1
2θ = 34.36°, I = 100, hkl 1 1 2
2θ = 34.59°, I = 57, hkl 2 2 0
2θ = 34.71°, I = 39, hkl 1 2 -2
2θ = 37.76°, I = 35, hkl 3 0 0
2θ = 38.13°, I = 69, hkl 0 3 1
2θ = 38.84°, I = 37, hkl 3 0 -2
2θ = 39.30°, I = 65, hkl 1 1 -3


Repeat the eighth record exactly.
The following is a theoretical XRD peak list of Ho2Zn15Cd2. It was derived from a DFT-relaxed cell (GGA-PBE, Alexandria), using Cu Kα X-rays.

Structural model:
Unit cell a=9.0928 b=9.0928 c=13.3070 alpha=90.00 beta=90.00 gamma=120.00
Space group R-3m (No. 166, hexagonal axes)
Inequivalent atoms, fractional coordinates:
Ho 0.0000 0.0000 0.1574 (multiplicity 6)
Zn 0.0000 0.3033 0.5000 (multiplicity 18)
Zn 0.0000 0.5000 0.0000 (multiplicity 9)
Zn 0.0147 0.5073 0.6526 (multiplicity 18)
Cd 0.0000 0.0000 0.3940 (multiplicity 6)

Largest 10 diffraction maxima, by angle, 10 to 90 degrees two-theta:
2θ = 34.16°, I = 59, hkl 3 0 0
2θ = 35.32°, I = 40, hkl 0 2 4
2θ = 39.65°, I = 75, hkl 2 2 0
2θ = 39.91°, I = 100, hkl 0 3 3
2θ = 40.68°, I = 62, hkl 0 0 6
2θ = 40.93°, I = 22, hkl 2 0 5
2θ = 44.80°, I = 36, hkl 2 2 3
2θ = 58.11°, I = 24, hkl 2 2 6
2θ = 71.95°, I = 25, hkl 6 0 0
2θ = 73.51°, I = 28, hkl 0 3 9


> Which formula does entry 3 have?

Ac3ZnPt3